Entry 1:
Structure and theoretical XRD peak list of Ho2ZnTe2S2O14 (a crystal structure in OQMD, relaxed with PBE; Cu Ka).
No peak broadening, texture or thermal motion is included.

Structure:
a = 5.2048 Å, b = 7.7197 Å, c = 7.9751 Å
α = 63.48°, β = 73.32°, γ = 85.07°
Space group P-1 (No. 2)
Unique sites:
Ho 0.0696 0.2530 0.0161 (multiplicity 2)
Zn 0.0000 0.0000 0.5000 (multiplicity 1)
Te 0.4940 0.7292 0.6542 (multiplicity 2)
S 0.2513 0.7484 0.2540 (multiplicity 2)
O 0.1280 0.5818 0.2544 (multiplicity 2)
O 0.1363 0.7599 0.4408 (multiplicity 2)
O 0.1838 0.9223 0.0885 (multiplicity 2)
O 0.2487 0.5592 0.8918 (multiplicity 2)
O 0.2588 0.9337 0.6656 (multiplicity 2)
O 0.2753 0.1948 0.2425 (multiplicity 2)
O 0.4556 0.2684 0.7772 (multiplicity 2)

Peak list (10 most intense, 10 to 90 degrees two-theta, sorted by position)
13.60°, intensity 65, (0 1 1)
18.88°, intensity 38, (1 0 1)
24.84°, intensity 87, (1 0 -1)
25.08°, intensity 74, (1 1 2)
25.83°, intensity 100, (0 2 0)
27.17°, intensity 54, (1 0 2)
27.88°, intensity 42, (1 2 1)
30.83°, intensity 78, (-1 2 1)
35.70°, intensity 68, (1 0 -2)
42.97°, intensity 35, (2 1 3)

---

Entry 2:
Structure and theoretical XRD peak list of HoSb2O4 (a crystal structure in OQMD, relaxed with PBE; Cu Ka).
No peak broadening, texture or thermal motion is included.

Structure:
a = 9.7452 Å, b = 9.7452 Å, c = 9.7452 Å
α = 90.00°, β = 90.00°, γ = 90.00°
Space group Fd-3m (No. 227, origin choice 2)
Unique sites:
Ho 0.1250 0.1250 0.1250 (multiplicity 8)
Sb 0.0000 0.0000 0.5000 (multiplicity 16)
O 0.0045 0.0045 0.7455 (multiplicity 32)

Peak list (10 most intense, 10 to 90 degrees two-theta, sorted by position)
25.86°, intensity 36, (2 2 0)
30.42°, intensity 100, (3 1 1)
31.81°, intensity 16, (2 2 2)
45.60°, intensity 16, (4 2 2)
48.54°, intensity 37, (5 1 1)
53.17°, intensity 40, (4 4 0)
62.50°, intensity 13, (5 3 3)
72.60°, intensity 8, (6 4 2)
74.84°, intensity 22, (5 5 3)
86.49°, intensity 12, (5 5 5)